For RbRhW2Cl, a cell relaxed with PBE gives the theoretical X-ray diffraction stick pattern in this record (Cu Ka).
Neutral-atom scattering factors, no anomalous dispersion.

Structure:
Cell lengths 4.741, 4.741, 7.708 Å; angles 90.00, 90.00, 90.00 degrees
Space group P4/mmm (No. 123)
Symmetry-distinct sites (fractional):
Rb 0.000 0.000 0.000
Rh 0.500 0.500 0.500
W 0.000 0.500 0.500
Cl 0.500 0.500 0.000

Most intense lines, 5° ≤ 2θ ≤ 70°, sorted by position:
| index | d_spacing | two_theta | I (rel.) |
| --- | --- | --- | --- |
| 0 0 1 | 7.708 | 11.5 | 100 |
| 1 0 1 | 4.038 | 22.0 | 20 |
| 0 0 2 | 3.854 | 23.1 | 63 |
| 1 1 1 | 3.074 | 29.0 | 58 |
| 2 0 0 | 2.370 | 38.0 | 34 |
| 2 0 1 | 2.266 | 39.8 | 21 |
| 1 1 3 | 2.039 | 44.4 | 18 |
| 2 0 2 | 2.019 | 44.9 | 43 |
| 2 2 2 | 1.537 | 60.2 | 18 |
| 2 0 4 | 1.495 | 62.1 | 16 |